Diffraction record for LiFe4. The powder XRD pattern is computed, not measured: it uses a crystal structure in Alexandria, relaxed with PBE and Cu Kα X-rays.

Largest 12 diffraction maxima, sorted by position, 2θ from 10° to 90°:
| 2θ (°) | I (rel.) |
| --- | --- |
| 22.9 | 14 |
| 28.1 | 17 |
| 32.6 | 5 |
| 43.6 | 100 |
| 46.8 | 21 |
| 52.7 | 30 |
| 55.5 | 2 |
| 65.9 | 2 |
| 73.1 | 19 |
| 75.4 | 2 |
| 77.8 | 8 |
| 84.6 | 12 |

Structural model:
```
LiFe4
1.0
-2.746 2.746 1.943
2.746 -2.746 1.943
2.746 2.746 -1.943
Li Fe
1 4
Cartesian
0.000 0.000 0.000 Li
2.199 1.097 0.000 Fe
1.649 -0.547 1.943 Fe
1.097 3.293 0.000 Fe
0.547 1.649 1.943 Fe
```